1.
# Li2SbPt
Theoretical powder X-ray diffraction pattern, Cu Kα. Input: the PBE geometry in the Materials Project.
Neutral-atom scattering factors, no anomalous dispersion.

Structure:
abc: 4.499 4.499 4.499
angles: 60.00 60.00 60.00
Fractional positions:
Li: 0.000 0.000 0.000
Li: 0.250 0.250 0.250
Sb: 0.750 0.750 0.750
Pt: 0.500 0.500 0.500

Main lines, by intensity (10 to 90 degrees two-theta):
| d_spacing | 2theta | I/Imax |
| --- | --- | --- |
| 3.674 | 24.2 | 100 |
| 2.250 | 40.1 | 88 |
| 1.918 | 47.4 | 50 |
| 1.299 | 72.8 | 30 |
| 1.460 | 63.8 | 21 |
| 1.225 | 78.0 | 16 |
| 1.591 | 58.0 | 15 |
| 1.125 | 86.5 | 10 |
| 3.181 | 28.0 | 5 |
| 1.423 | 65.6 | 2 |

---

2.
# K2NaLaCl6
Theoretical powder X-ray diffraction pattern, Cu Kα. Input: the PBE geometry in the Materials Project.
Neutral-atom scattering factors, no anomalous dispersion.

Structure:
abc: 7.771 7.771 7.771
angles: 60.00 60.00 60.00
Fractional positions:
K: 0.250 0.250 0.250
K: 0.750 0.750 0.750
Na: 0.000 0.000 0.000
La: 0.500 0.500 0.500
Cl: 0.249 0.249 0.751
Cl: 0.249 0.751 0.249
Cl: 0.249 0.751 0.751
Cl: 0.751 0.249 0.249
Cl: 0.751 0.249 0.751
Cl: 0.751 0.751 0.249

Main lines, by intensity (10 to 90 degrees two-theta):
| d_spacing | 2theta | I/Imax |
| --- | --- | --- |
| 2.747 | 32.6 | 100 |
| 3.885 | 22.9 | 67 |
| 1.943 | 46.8 | 66 |
| 5.495 | 16.1 | 63 |
| 6.345 | 14.0 | 59 |
| 3.313 | 26.9 | 39 |
| 2.457 | 36.6 | 32 |
| 2.243 | 40.2 | 31 |
| 1.229 | 77.7 | 27 |
| 1.586 | 58.2 | 22 |

---

3.
# Sr5Cd3
Theoretical powder X-ray diffraction pattern, Cu Kα. Input: the PBE geometry in the Materials Project.
Neutral-atom scattering factors, no anomalous dispersion.

Structure:
abc: 10.422 10.422 10.422
angles: 130.88 130.88 72.00
Fractional positions:
Sr: 0.000 0.000 0.000
Sr: 0.021 0.521 0.837
Sr: 0.184 0.021 0.500
Sr: 0.316 0.816 0.837
Sr: 0.479 0.316 0.500
Sr: 0.500 0.500 0.000
Sr: 0.521 0.684 0.500
Sr: 0.684 0.184 0.163
Sr: 0.816 0.979 0.500
Sr: 0.979 0.479 0.163
Cd: 0.122 0.378 0.500
Cd: 0.250 0.250 0.000
Cd: 0.378 0.878 0.255
Cd: 0.622 0.122 0.745
Cd: 0.750 0.750 0.000
Cd: 0.878 0.622 0.500

Main lines, by intensity (10 to 90 degrees two-theta):
| d_spacing | 2theta | I/Imax |
| --- | --- | --- |
| 3.190 | 28.0 | 100 |
| 2.740 | 32.7 | 48 |
| 3.021 | 29.6 | 35 |
| 1.671 | 55.0 | 13 |
| 4.956 | 17.9 | 13 |
| 3.063 | 29.2 | 12 |
| 1.576 | 58.6 | 12 |
| 2.811 | 31.8 | 12 |
| 2.544 | 35.3 | 11 |
| 1.547 | 59.8 | 10 |

---

4.
# PrIn4Ni
Theoretical powder X-ray diffraction pattern, Cu Kα. Input: the PBE geometry in the Materials Project.
Neutral-atom scattering factors, no anomalous dispersion.

Structure:
abc: 8.734 8.734 7.255
angles: 90.00 90.00 150.03
Fractional positions:
Pr: 0.119 0.881 0.750
Pr: 0.881 0.119 0.250
In: 0.075 0.925 0.250
In: 0.311 0.689 0.548
In: 0.311 0.689 0.952
In: 0.500 0.500 0.000
In: 0.500 0.500 0.500
In: 0.689 0.311 0.048
In: 0.689 0.311 0.452
In: 0.925 0.075 0.750
Ni: 0.226 0.774 0.250
Ni: 0.774 0.226 0.750

Main lines, by intensity (10 to 90 degrees two-theta):
| d_spacing | 2theta | I/Imax |
| --- | --- | --- |
| 2.789 | 32.1 | 100 |
| 2.704 | 33.1 | 68 |
| 2.259 | 39.9 | 38 |
| 2.531 | 35.5 | 36 |
| 2.223 | 40.6 | 29 |
| 1.584 | 58.2 | 20 |
| 2.622 | 34.2 | 19 |
| 2.750 | 32.6 | 18 |
| 1.506 | 61.6 | 12 |
| 1.814 | 50.3 | 11 |

---

5.
# ErB4
Theoretical powder X-ray diffraction pattern, Cu Kα. Input: the PBE geometry in the Materials Project.
Neutral-atom scattering factors, no anomalous dispersion.

Structure:
abc: 7.070 7.070 3.997
angles: 90.00 90.00 90.00
Fractional positions:
Er: 0.182 0.318 0.000
Er: 0.318 0.818 0.000
Er: 0.682 0.182 0.000
Er: 0.818 0.682 0.000
B: 0.000 0.000 0.203
B: 0.000 0.000 0.797
B: 0.039 0.823 0.500
B: 0.087 0.587 0.500
B: 0.177 0.039 0.500
B: 0.323 0.539 0.500
B: 0.413 0.087 0.500
B: 0.461 0.323 0.500
B: 0.500 0.500 0.203
B: 0.500 0.500 0.797
B: 0.539 0.677 0.500
B: 0.587 0.913 0.500
B: 0.677 0.461 0.500
B: 0.823 0.961 0.500
B: 0.913 0.413 0.500
B: 0.961 0.177 0.500

Main lines, by intensity (10 to 90 degrees two-theta):
| d_spacing | 2theta | I/Imax |
| --- | --- | --- |
| 2.480 | 36.2 | 100 |
| 3.162 | 28.2 | 78 |
| 3.997 | 22.2 | 59 |
| 2.648 | 33.9 | 53 |
| 3.535 | 25.2 | 38 |
| 1.576 | 58.6 | 35 |
| 1.715 | 53.4 | 29 |
| 1.689 | 54.3 | 26 |
| 1.301 | 72.7 | 23 |
| 1.951 | 46.5 | 18 |

---

6.
# ScAsO3
Theoretical powder X-ray diffraction pattern, Cu Kα. Input: the PBE geometry in the Materials Project.
Neutral-atom scattering factors, no anomalous dispersion.

Structure:
abc: 3.942 3.942 3.942
angles: 90.00 90.00 90.00
Fractional positions:
Sc: 0.000 0.000 0.000
As: 0.500 0.500 0.500
O: 0.000 0.500 0.500
O: 0.500 0.000 0.500
O: 0.500 0.500 0.000

Main lines, by intensity (10 to 90 degrees two-theta):
| d_spacing | 2theta | I/Imax |
| --- | --- | --- |
| 2.787 | 32.1 | 100 |
| 1.971 | 46.0 | 45 |
| 1.609 | 57.2 | 38 |
| 3.942 | 22.6 | 27 |
| 1.394 | 67.2 | 25 |
| 1.247 | 76.4 | 16 |
| 1.763 | 51.9 | 11 |
| 1.138 | 85.3 | 8 |
| 1.314 | 71.8 | 5 |
| 1.093 | 89.7 | 2 |

---

7.
# Be13Tc
Theoretical powder X-ray diffraction pattern, Cu Kα. Input: the PBE geometry in the Materials Project.
Neutral-atom scattering factors, no anomalous dispersion.

Structure:
abc: 9.561 9.561 9.561
angles: 60.00 60.00 60.00
Fractional positions:
Be: 0.021 0.233 0.623
Be: 0.021 0.623 0.233
Be: 0.021 0.623 0.623
Be: 0.111 0.632 0.879
Be: 0.111 0.879 0.632
Be: 0.111 0.879 0.879
Be: 0.121 0.121 0.368
Be: 0.121 0.121 0.889
Be: 0.121 0.368 0.121
Be: 0.121 0.368 0.889
Be: 0.121 0.889 0.121
Be: 0.121 0.889 0.368
Be: 0.125 0.125 0.125
Be: 0.233 0.021 0.623
Be: 0.233 0.623 0.021
Be: 0.233 0.623 0.623
Be: 0.368 0.121 0.121
Be: 0.368 0.121 0.889
Be: 0.368 0.889 0.121
Be: 0.375 0.375 0.375
Be: 0.377 0.377 0.767
Be: 0.377 0.377 0.979
Be: 0.377 0.767 0.377
Be: 0.377 0.767 0.979
Be: 0.377 0.979 0.377
Be: 0.377 0.979 0.767
Be: 0.623 0.021 0.233
Be: 0.623 0.021 0.623
Be: 0.623 0.233 0.021
Be: 0.623 0.233 0.623
Be: 0.623 0.623 0.021
Be: 0.623 0.623 0.233
Be: 0.625 0.625 0.625
Be: 0.632 0.111 0.879
Be: 0.632 0.879 0.111
Be: 0.632 0.879 0.879
Be: 0.767 0.377 0.377
Be: 0.767 0.377 0.979
Be: 0.767 0.979 0.377
Be: 0.875 0.875 0.875
Be: 0.879 0.111 0.632
Be: 0.879 0.111 0.879
Be: 0.879 0.632 0.111
Be: 0.879 0.632 0.879
Be: 0.879 0.879 0.111
Be: 0.879 0.879 0.632
Be: 0.889 0.121 0.121
Be: 0.889 0.121 0.368
Be: 0.889 0.368 0.121
Be: 0.979 0.377 0.377
Be: 0.979 0.377 0.767
Be: 0.979 0.767 0.377
Tc: 0.000 0.500 0.500
Tc: 0.500 0.000 0.500
Tc: 0.500 0.500 0.000
Tc: 0.500 0.500 0.500

Main lines, by intensity (10 to 90 degrees two-theta):
| d_spacing | 2theta | I/Imax |
| --- | --- | --- |
| 3.903 | 22.8 | 100 |
| 4.077 | 21.8 | 80 |
| 7.806 | 11.3 | 57 |
| 3.102 | 28.8 | 48 |
| 2.038 | 44.4 | 46 |
| 2.390 | 37.6 | 38 |
| 3.380 | 26.4 | 37 |
| 2.285 | 39.4 | 31 |
| 1.760 | 51.9 | 27 |
| 2.062 | 43.9 | 23 |